Mg2AsO5: calculated PXRD pattern (Cu Kα), based on a structure optimized by DFT (PBE).

Cell and atoms:
a = 8.421 Å, b = 8.462 Å, c = 6.170 Å
α = 90.00°, β = 90.00°, γ = 90.00°
Space group Pnnm (No. 58)
Unique sites:
Mg: 0.000 0.000 0.247
Mg: 0.129 0.356 0.500
As: 0.248 0.244 0.000
O: 0.111 0.598 0.500
O: 0.130 0.223 0.225
O: 0.141 0.916 0.000
O: 0.143 0.917 0.500

Largest 6 diffraction maxima, by intensity, 10 to 90 degrees two-theta:
- d = 4.290 Å, I 100
- d = 2.984 Å, I 39
- d = 2.490 Å, I 33
- d = 4.982 Å, I 27
- d = 2.446 Å, I 27
- d = 2.454 Å, I 26



MgAs4P4O16: calculated PXRD pattern (Cu Kα), based on a structure optimized by DFT (PBE).

Cell and atoms:
a = 8.662 Å, b = 5.070 Å, c = 8.702 Å
α = 90.00°, β = 98.58°, γ = 90.00°
Space group Pm (No. 6)
Unique sites:
Mg: 0.000 0.000 0.000
As: 0.045 0.000 0.294
As: 0.417 0.500 0.656
As: 0.542 0.000 0.177
As: 0.918 0.500 0.804
P: 0.077 0.000 0.695
P: 0.358 0.500 0.302
P: 0.598 0.000 0.835
P: 0.828 0.500 0.162
O: 0.072 0.240 0.828
O: 0.193 0.500 0.332
O: 0.237 0.000 0.652
O: 0.392 0.250 0.207
O: 0.480 0.500 0.461
O: 0.483 0.000 0.960
O: 0.566 0.247 0.728
O: 0.656 0.500 0.098
O: 0.769 0.000 0.906
O: 0.874 0.252 0.260
O: 0.924 0.000 0.591
O: 0.936 0.500 0.021

Largest 6 diffraction maxima, by intensity, 10 to 90 degrees two-theta:
- d = 4.293 Å, I 100
- d = 3.272 Å, I 51
- d = 2.485 Å, I 34
- d = 4.016 Å, I 29
- d = 2.535 Å, I 26
- d = 2.949 Å, I 23



- Which formula does entry 2 have?
  MgAs4P4O16